Calculated powder diffractogram
Compound: Li2Cr2O9
Radiation: Cu Kα (λ = 1.5418 Å)
Structure: a cell relaxed with GGA+U
No peak broadening, texture or thermal motion is included.

The 10 most intense peaks (2θ = 5–70°), sorted by position:
d/Å, 2θ/deg, I_rel
5.066, 17.51, 100.0
4.727, 18.77, 21.4
4.243, 20.94, 40.8
3.666, 24.28, 48.9
3.561, 25.01, 10.7
3.376, 26.40, 30.4
3.302, 27.00, 15.5
3.157, 28.27, 16.1
2.774, 32.27, 24.7
2.440, 36.83, 15.4

Crystal structure
```
Li2Cr2O9
1.0
7.403 -4.243 0.000
7.403 4.243 0.000
-0.917 0.000 6.548
Li Cr O
4 4 18
direct
0.074 0.189 0.295
0.189 0.074 0.795
0.811 0.926 0.205
0.926 0.811 0.705
0.191 0.607 0.136
0.393 0.809 0.364
0.607 0.191 0.636
0.809 0.393 0.864
0.039 0.705 0.336
0.072 0.620 0.509
0.072 0.760 0.967
0.234 0.402 0.070
0.240 0.928 0.533
0.295 0.961 0.164
0.380 0.928 0.991
0.391 0.609 0.250
0.402 0.234 0.570
0.598 0.766 0.430
0.609 0.391 0.750
0.620 0.072 0.009
0.705 0.039 0.836
0.760 0.072 0.467
0.766 0.598 0.930
0.928 0.240 0.033
0.928 0.380 0.491
0.961 0.295 0.664
```

***

Calculated powder diffractogram
Compound: Li9Mn2Co5O16
Radiation: Cu Kα (λ = 1.5418 Å)
Structure: a cell relaxed with GGA+U
No peak broadening, texture or thermal motion is included.

The 10 most intense peaks (2θ = 5–70°), sorted by position:
d/Å, 2θ/deg, I_rel
4.812, 18.44, 100.0
2.582, 34.74, 18.0
2.446, 36.74, 23.2
2.408, 37.35, 8.2
2.373, 37.92, 7.3
2.161, 41.80, 30.6
2.029, 44.67, 50.4
1.909, 47.64, 9.5
1.571, 58.78, 9.4
1.479, 62.83, 29.6

Crystal structure
```
Li9Mn2Co5O16
1.0
5.201 0.000 0.000
0.000 11.357 0.000
-1.975 0.000 4.819
Li Mn Co O
9 2 5 16
direct
0.000 0.000 0.000
0.000 0.123 0.500
0.000 0.247 0.000
0.000 0.376 0.500
0.000 0.500 0.000
0.000 0.624 0.500
0.000 0.753 0.000
0.000 0.877 0.500
0.500 0.000 0.500
0.500 0.372 0.000
0.500 0.628 0.000
0.500 0.124 0.000
0.500 0.248 0.500
0.500 0.500 0.500
0.500 0.752 0.500
0.500 0.876 0.000
0.264 0.245 0.773
0.264 0.755 0.773
0.266 0.500 0.773
0.268 0.000 0.788
0.273 0.375 0.278
0.273 0.625 0.278
0.294 0.131 0.243
0.294 0.869 0.243
0.706 0.131 0.757
0.706 0.869 0.757
0.727 0.375 0.722
0.727 0.625 0.722
0.732 0.000 0.212
0.734 0.500 0.227
0.736 0.245 0.227
0.736 0.755 0.227
```